Theoretical PXRD pattern
Compound: PmY2NpO8
Radiation: Cu Kα, 1.54184 Å
Structure: a GGA-PBE-relaxed structure
Kinematic intensities with the Lorentz-polarization factor, no thermal factor.

Main lines, low angle first (10° ≤ 2θ ≤ 80°):
- hkl 0 0 1, d 5.410, intensity 163
- hkl 1 0 -1, d 3.274, intensity 388
- hkl 1 0 1, d 3.076, intensity 1000
- hkl 1 2 0, d 2.704, intensity 414
- hkl 1 2 -2, d 1.958, intensity 268
- hkl 2 0 0, d 1.954, intensity 132
- hkl 1 2 2, d 1.870, intensity 336
- hkl 2 2 -1, d 1.680, intensity 172
- hkl 0 2 3, d 1.625, intensity 203
- hkl 1 4 1, d 1.598, intensity 144

Atomic structure:
```
data_PmY2NpO8
_symmetry_space_group_name_H-M 'P 1 2/m 1'
_symmetry_Int_Tables_number 10
_symmetry_space_group_name_Hall '-P 2y'
_cell_length_a 3.917
_cell_length_b 7.486
_cell_length_c 5.422
_cell_angle_alpha 90.00
_cell_angle_beta 93.85
_cell_angle_gamma 90.00
loop_
_atom_site_label
_atom_site_fract_x
_atom_site_fract_y
_atom_site_fract_z
Pm1 0.000 0.000 0.000
Y1 0.500 0.243 0.500
Np1 0.000 0.500 0.000
O1 0.026 0.281 0.762
O2 0.458 0.500 0.224
O3 0.494 0.000 0.743
```

Theoretical PXRD pattern
Compound: Pr3NpO6
Radiation: Cu Kα, 1.54184 Å
Structure: a GGA-PBE-relaxed structure
Kinematic intensities with the Lorentz-polarization factor, no thermal factor.

Main lines, low angle first (10° ≤ 2θ ≤ 80°):
- hkl 0 0 3, d 3.951, intensity 263
- hkl 2 0 2, d 3.534, intensity 581
- hkl 3 -1 1, d 3.204, intensity 751
- hkl 2 -1 3, d 3.119, intensity 336
- hkl 3 0 0, d 2.935, intensity 294
- hkl 1 2 2, d 2.902, intensity 1000
- hkl 1 0 4, d 2.808, intensity 270
- hkl 3 -1 4, d 2.213, intensity 372
- hkl 4 1 0, d 1.921, intensity 439
- hkl 1 1 6, d 1.841, intensity 262

Atomic structure:
```
data_Pr3NpO6
_symmetry_space_group_name_H-M 'R -3'
_symmetry_Int_Tables_number 148
_symmetry_space_group_name_Hall '-R 3'
_cell_length_a 10.1674
_cell_length_b 10.1674
_cell_length_c 11.8523
_cell_angle_alpha 90.00
_cell_angle_beta 90.00
_cell_angle_gamma 120.00
loop_
_atom_site_label
_atom_site_fract_x
_atom_site_fract_y
_atom_site_fract_z
Pr1 0.0380 0.7739 0.2105
Np1 0.0000 0.0000 0.0000
Np2 0.0000 0.0000 0.5000
O1 0.0278 0.8414 0.8761
O2 0.0299 0.8114 0.4068
```

Theoretical PXRD pattern
Compound: Rb2PrNp3O12
Radiation: Cu Kα, 1.54184 Å
Structure: a GGA-PBE-relaxed structure
Kinematic intensities with the Lorentz-polarization factor, no thermal factor.

Main lines, low angle first (10° ≤ 2θ ≤ 80°):
- hkl 1 0 1, d 6.552, intensity 696
- hkl 0 0 3, d 6.254, intensity 523
- hkl 0 2 1, d 3.437, intensity 836
- hkl 1 1 3, d 3.392, intensity 859
- hkl 0 1 5, d 3.306, intensity 339
- hkl 2 0 2, d 3.276, intensity 1000
- hkl 0 0 6, d 3.127, intensity 350
- hkl 2 2 0, d 2.019, intensity 494
- hkl 2 0 8, d 1.948, intensity 380
- hkl 2 2 6, d 1.696, intensity 329

Atomic structure:
```
data_Rb2PrNp3O12
_symmetry_space_group_name_H-M 'R -3 m'
_symmetry_Int_Tables_number 166
_symmetry_space_group_name_Hall '-R 3 2"'
_cell_length_a 8.0740
_cell_length_b 8.0740
_cell_length_c 18.7623
_cell_angle_alpha 90.00
_cell_angle_beta 90.00
_cell_angle_gamma 120.00
loop_
_atom_site_label
_atom_site_fract_x
_atom_site_fract_y
_atom_site_fract_z
Rb1 0.0000 0.0000 0.1299
Pr1 0.0000 0.0000 0.5000
Np1 0.0000 0.5000 0.0000
O1 0.0350 0.5175 0.1029
O2 0.0831 0.5415 0.3429
```

Theoretical PXRD pattern
Compound: Pr2NpScO6
Radiation: Cu Kα, 1.54184 Å
Structure: a GGA-PBE-relaxed structure
Kinematic intensities with the Lorentz-polarization factor, no thermal factor.

Main lines, low angle first (10° ≤ 2θ ≤ 80°):
- hkl 0 1 1, d 4.912, intensity 393
- hkl 1 0 -2, d 4.761, intensity 268
- hkl 0 2 0, d 3.026, intensity 427
- hkl 1 1 1, d 2.974, intensity 1000
- hkl 1 1 -3, d 2.960, intensity 991
- hkl 2 0 -2, d 2.901, intensity 444
- hkl 0 0 4, d 2.102, intensity 244
- hkl 2 2 -2, d 2.094, intensity 385
- hkl 1 3 -3, d 1.736, intensity 270
- hkl 3 1 -5, d 1.684, intensity 244

Atomic structure:
```
data_Pr2NpScO6
_symmetry_space_group_name_H-M 'P 1 21/c 1'
_symmetry_Int_Tables_number 14
_symmetry_space_group_name_Hall '-P 2ybc'
_cell_length_a 5.803
_cell_length_b 6.052
_cell_length_c 10.186
_cell_angle_alpha 90.00
_cell_angle_beta 124.35
_cell_angle_gamma 90.00
loop_
_atom_site_label
_atom_site_fract_x
_atom_site_fract_y
_atom_site_fract_z
Pr1 0.233 0.057 0.251
Np1 0.500 0.000 0.000
Sc1 0.000 0.000 0.500
O1 0.114 0.205 0.931
O2 0.231 0.687 0.936
O3 0.367 0.057 0.739
```

Theoretical PXRD pattern
Compound: Pu3Np2O9
Radiation: Cu Kα, 1.54184 Å
Structure: a GGA-PBE-relaxed structure
Kinematic intensities with the Lorentz-polarization factor, no thermal factor.

Main lines, low angle first (10° ≤ 2θ ≤ 80°):
- hkl 1 0 5, d 3.116, intensity 1000
- hkl 1 1 0, d 2.703, intensity 264
- hkl 0 0 10, d 2.690, intensity 128
- hkl 2 0 0, d 1.911, intensity 161
- hkl 1 1 10, d 1.907, intensity 312
- hkl 2 1 5, d 1.629, intensity 314
- hkl 1 0 15, d 1.624, intensity 151
- hkl 2 0 10, d 1.558, intensity 110
- hkl 3 0 5, d 1.240, intensity 65
- hkl 2 1 15, d 1.237, intensity 125

Atomic structure:
```
data_Pu3Np2O9
_symmetry_space_group_name_H-M 'I -4 m 2'
_symmetry_Int_Tables_number 119
_symmetry_space_group_name_Hall 'I -4 -2'
_cell_length_a 3.823
_cell_length_b 3.823
_cell_length_c 26.900
_cell_angle_alpha 90.00
_cell_angle_beta 90.00
_cell_angle_gamma 90.00
loop_
_atom_site_label
_atom_site_fract_x
_atom_site_fract_y
_atom_site_fract_z
Pu1 0.000 0.000 0.000
Pu2 0.000 0.000 0.402
Np1 0.000 0.000 0.197
O1 0.000 0.500 0.049
O2 0.000 0.500 0.151
O3 0.000 0.500 0.250
O4 0.000 0.500 0.552
O5 0.000 0.500 0.660
```

Theoretical PXRD pattern
Compound: Pu2NpO11
Radiation: Cu Kα, 1.54184 Å
Structure: a GGA-PBE-relaxed structure
Kinematic intensities with the Lorentz-polarization factor, no thermal factor.

Main lines, low angle first (10° ≤ 2θ ≤ 80°):
- hkl 1 1 -1, d 6.811, intensity 257
- hkl 1 1 1, d 4.328, intensity 314
- hkl 1 1 -2, d 4.266, intensity 269
- hkl 0 0 2, d 3.900, intensity 562
- hkl 2 2 -1, d 3.814, intensity 1000
- hkl 4 0 -2, d 3.469, intensity 495
- hkl 2 2 1, d 2.748, intensity 270
- hkl 2 2 -3, d 2.706, intensity 264
- hkl 4 0 0, d 2.629, intensity 161
- hkl 6 2 -3, d 2.063, intensity 212

Atomic structure:
```
data_Pu2NpO11
_symmetry_space_group_name_H-M 'C 1 c 1'
_symmetry_Int_Tables_number 9
_symmetry_space_group_name_Hall 'C -2yc'
_cell_length_a 13.883
_cell_length_b 9.131
_cell_length_c 10.296
_cell_angle_alpha 90.00
_cell_angle_beta 130.74
_cell_angle_gamma 90.00
loop_
_atom_site_label
_atom_site_fract_x
_atom_site_fract_y
_atom_site_fract_z
Pu1 0.000 0.071 0.000
Pu2 0.461 0.148 0.920
Np1 0.224 0.360 0.966
O1 0.000 0.240 0.094
O2 0.084 0.348 0.657
O3 0.117 0.492 0.439
O4 0.118 0.001 0.712
O5 0.138 0.211 0.982
O6 0.323 0.218 0.965
O7 0.327 0.494 0.477
O8 0.345 0.157 0.691
O9 0.377 0.370 0.274
O10 0.407 0.036 0.414
O11 0.498 0.368 0.913
```

Theoretical PXRD pattern
Compound: Rb3Pu3NpO8
Radiation: Cu Kα, 1.54184 Å
Structure: a GGA-PBE-relaxed structure
Kinematic intensities with the Lorentz-polarization factor, no thermal factor.

Main lines, low angle first (10° ≤ 2θ ≤ 80°):
- hkl 0 0 3, d 6.656, intensity 1000
- hkl 0 0 6, d 3.328, intensity 464
- hkl 0 2 1, d 3.051, intensity 367
- hkl 2 0 2, d 2.949, intensity 917
- hkl 0 2 4, d 2.626, intensity 1000
- hkl 0 2 7, d 2.095, intensity 198
- hkl 2 0 8, d 1.941, intensity 368
- hkl 2 2 0, d 1.782, intensity 327
- hkl 0 2 10, d 1.677, intensity 232
- hkl 2 2 6, d 1.571, intensity 333

Atomic structure:
```
data_Rb3Pu3NpO8
_symmetry_space_group_name_H-M 'R -3 m'
_symmetry_Int_Tables_number 166
_symmetry_space_group_name_Hall '-R 3 2"'
_cell_length_a 7.1292
_cell_length_b 7.1292
_cell_length_c 19.9684
_cell_angle_alpha 90.00
_cell_angle_beta 90.00
_cell_angle_gamma 120.00
loop_
_atom_site_label
_atom_site_fract_x
_atom_site_fract_y
_atom_site_fract_z
Rb1 0.0000 0.5000 0.0000
Pu1 0.0000 0.5000 0.5000
Np1 0.0000 0.0000 0.5000
O1 0.0000 0.0000 0.2242
O2 0.0125 0.5063 0.2218
```

Theoretical PXRD pattern
Compound: PuNpS2O
Radiation: Cu Kα, 1.54184 Å
Structure: a GGA-PBE-relaxed structure
Kinematic intensities with the Lorentz-polarization factor, no thermal factor.

Main lines, low angle first (10° ≤ 2θ ≤ 80°):
- hkl 0 0 2, d 6.773, intensity 146
- hkl 0 0 4, d 3.387, intensity 252
- hkl 1 0 2, d 3.355, intensity 1000
- hkl 1 1 0, d 2.731, intensity 519
- hkl 1 0 4, d 2.546, intensity 199
- hkl 1 1 4, d 2.126, intensity 338
- hkl 1 0 6, d 1.949, intensity 138
- hkl 2 0 0, d 1.931, intensity 215
- hkl 2 0 4, d 1.677, intensity 142
- hkl 2 1 2, d 1.674, intensity 296

Atomic structure:
```
data_PuNpS2O
_symmetry_space_group_name_H-M 'P 4/n m m'
_symmetry_Int_Tables_number 129
_cell_length_a 3.862
_cell_length_b 3.862
_cell_length_c 13.547
_cell_angle_alpha 90.00
_cell_angle_beta 90.00
_cell_angle_gamma 90.00
loop_
_symmetry_equiv_pos_as_xyz
'x,y,z'
'-x,-y,-z'
'-y+1/2,x,z'
'y+1/2,-x,-z'
'-x+1/2,-y+1/2,z'
'x+1/2,y+1/2,-z'
'y,-x+1/2,z'
'-y,x+1/2,-z'
'x+1/2,-y,-z'
'-x+1/2,y,z'
'-y,-x,-z'
'y,x,z'
'-x,y+1/2,-z'
'x,-y+1/2,z'
'y+1/2,x+1/2,-z'
'-y+1/2,-x+1/2,z'
loop_
_atom_site_label
_atom_site_fract_x
_atom_site_fract_y
_atom_site_fract_z
Pu1 0.250 0.250 0.093
Np1 0.250 0.250 0.613
S1 0.250 0.250 0.405
S2 0.250 0.250 0.807
O1 0.250 0.750 0.000
```

Theoretical PXRD pattern
Compound: PuNpSe2O
Radiation: Cu Kα, 1.54184 Å
Structure: a GGA-PBE-relaxed structure
Kinematic intensities with the Lorentz-polarization factor, no thermal factor.

Main lines, low angle first (10° ≤ 2θ ≤ 80°):
- hkl 0 0 2, d 7.053, intensity 213
- hkl 0 0 4, d 3.527, intensity 336
- hkl 1 0 2, d 3.486, intensity 819
- hkl 1 1 0, d 2.835, intensity 1000
- hkl 1 0 4, d 2.648, intensity 381
- hkl 1 0 5, d 2.307, intensity 199
- hkl 1 1 4, d 2.210, intensity 459
- hkl 2 0 0, d 2.005, intensity 417
- hkl 2 0 4, d 1.743, intensity 193
- hkl 2 1 2, d 1.738, intensity 248

Atomic structure:
```
data_PuNpSe2O
_symmetry_space_group_name_H-M 'P 4/n m m'
_symmetry_Int_Tables_number 129
_cell_length_a 4.010
_cell_length_b 4.010
_cell_length_c 14.107
_cell_angle_alpha 90.00
_cell_angle_beta 90.00
_cell_angle_gamma 90.00
loop_
_symmetry_equiv_pos_as_xyz
'x,y,z'
'-x,-y,-z'
'-y+1/2,x,z'
'y+1/2,-x,-z'
'-x+1/2,-y+1/2,z'
'x+1/2,y+1/2,-z'
'y,-x+1/2,z'
'-y,x+1/2,-z'
'x+1/2,-y,-z'
'-x+1/2,y,z'
'-y,-x,-z'
'y,x,z'
'-x,y+1/2,-z'
'x,-y+1/2,z'
'y+1/2,x+1/2,-z'
'-y+1/2,-x+1/2,z'
loop_
_atom_site_label
_atom_site_fract_x
_atom_site_fract_y
_atom_site_fract_z
Pu1 0.250 0.250 0.083
Np1 0.250 0.250 0.614
Se1 0.250 0.250 0.404
Se2 0.250 0.250 0.810
O1 0.250 0.750 0.000
```

Theoretical PXRD pattern
Compound: PuNpTlO6
Radiation: Cu Kα, 1.54184 Å
Structure: a GGA-PBE-relaxed structure
Kinematic intensities with the Lorentz-polarization factor, no thermal factor.

Main lines, low angle first (10° ≤ 2θ ≤ 80°):
- hkl 0 1 1, d 6.467, intensity 270
- hkl 0 1 3, d 3.370, intensity 1000
- hkl 2 1 1, d 3.339, intensity 351
- hkl 0 2 2, d 3.234, intensity 175
- hkl 2 0 2, d 3.199, intensity 562
- hkl 1 2 3, d 2.565, intensity 132
- hkl 3 2 1, d 2.133, intensity 174
- hkl 2 2 4, d 1.971, intensity 220
- hkl 0 2 6, d 1.688, intensity 193
- hkl 2 4 2, d 1.684, intensity 210

Atomic structure:
```
data_PuNpTlO6
_symmetry_space_group_name_H-M 'I m m a'
_symmetry_Int_Tables_number 74
_symmetry_space_group_name_Hall '-I 2b 2'
_cell_length_a 7.798
_cell_length_b 7.926
_cell_length_c 11.187
_cell_angle_alpha 90.00
_cell_angle_beta 90.00
_cell_angle_gamma 90.00
loop_
_atom_site_label
_atom_site_fract_x
_atom_site_fract_y
_atom_site_fract_z
Pu1 0.250 0.250 0.250
Np1 0.000 0.000 0.000
Tl1 0.000 0.250 0.566
O1 0.000 0.250 0.323
O2 0.000 0.250 0.939
O3 0.189 0.060 0.121
```

Theoretical PXRD pattern
Compound: Rb3Np4O12
Radiation: Cu Kα, 1.54184 Å
Structure: a GGA-PBE-relaxed structure
Kinematic intensities with the Lorentz-polarization factor, no thermal factor.

Main lines, low angle first (10° ≤ 2θ ≤ 80°):
- hkl 2 0 0, d 4.283, intensity 504
- hkl 2 2 0, d 3.029, intensity 1000
- hkl 2 2 2, d 2.473, intensity 68
- hkl 4 0 0, d 2.142, intensity 291
- hkl 4 2 0, d 1.915, intensity 239
- hkl 4 2 2, d 1.749, intensity 425
- hkl 4 4 0, d 1.514, intensity 188
- hkl 6 0 0, d 1.428, intensity 115
- hkl 6 2 0, d 1.354, intensity 188
- hkl 4 4 4, d 1.236, intensity 63

Atomic structure:
```
data_Rb3Np4O12
_symmetry_space_group_name_H-M 'I m -3 m'
_symmetry_Int_Tables_number 229
_symmetry_space_group_name_Hall '-I 4 2 3'
_cell_length_a 8.566
_cell_length_b 8.566
_cell_length_c 8.566
_cell_angle_alpha 90.00
_cell_angle_beta 90.00
_cell_angle_gamma 90.00
loop_
_atom_site_label
_atom_site_fract_x
_atom_site_fract_y
_atom_site_fract_z
Rb1 0.000 0.000 0.500
Np1 0.250 0.250 0.250
O1 0.000 0.253 0.253
```

Theoretical PXRD pattern
Compound: RbNp2O5
Radiation: Cu Kα, 1.54184 Å
Structure: a GGA-PBE-relaxed structure
Kinematic intensities with the Lorentz-polarization factor, no thermal factor.

Main lines, low angle first (10° ≤ 2θ ≤ 80°):
- hkl 0 0 2, d 6.015, intensity 352
- hkl 1 0 1, d 3.409, intensity 293
- hkl 0 1 3, d 3.285, intensity 1000
- hkl 1 1 0, d 3.020, intensity 435
- hkl 0 2 0, d 2.864, intensity 315
- hkl 1 1 2, d 2.699, intensity 543
- hkl 1 2 1, d 2.193, intensity 270
- hkl 1 2 3, d 1.949, intensity 291
- hkl 1 2 5, d 1.636, intensity 235
- hkl 2 1 3, d 1.563, intensity 239

Atomic structure:
```
data_RbNp2O5
_symmetry_space_group_name_H-M 'I m m m'
_symmetry_Int_Tables_number 71
_symmetry_space_group_name_Hall '-I 2 2'
_cell_length_a 3.555
_cell_length_b 5.728
_cell_length_c 12.030
_cell_angle_alpha 90.00
_cell_angle_beta 90.00
_cell_angle_gamma 90.00
loop_
_atom_site_label
_atom_site_fract_x
_atom_site_fract_y
_atom_site_fract_z
Rb1 0.000 0.000 0.000
Np1 0.000 0.500 0.178
O1 0.000 0.238 0.332
O2 0.000 0.500 0.000
```